No. 1
For LaNiAs, a structure optimized by DFT (GGA-PBE) gives the calculated powder diffraction line list in this record (Cu Kα X-rays).
Kinematic intensities with the Lorentz-polarization factor, no thermal factor.

Most intense lines, 2θ from 10° to 90°, in order of rising 2θ:
two_theta	d/Å	intensity
23.03	3.861	103
30.80	2.903	1000
40.46	2.229	425
40.99	2.202	137
51.70	1.768	230
58.96	1.567	274
67.62	1.385	202
68.37	1.372	98
73.59	1.287	70
87.86	1.111	90

Atomic structure:
a = 4.459 Å, b = 4.459 Å, c = 4.403 Å
α = 90.00°, β = 90.00°, γ = 120.00°
Positions (direct):
La: 0.000 0.000 0.000
Ni: 0.333 0.667 0.500
As: 0.667 0.333 0.500

No. 2
For LaNiAs, a structure optimized by DFT (GGA-PBE) gives the calculated powder diffraction line list in this record (Cu Kα X-rays).
Kinematic intensities with the Lorentz-polarization factor, no thermal factor.

Most intense lines, 2θ from 10° to 90°, in order of rising 2θ:
two_theta	d/Å	intensity
24.48	3.636	103
32.91	2.722	1000
43.09	2.099	425
44.13	2.052	131
55.27	1.662	224
63.38	1.467	260
72.54	1.303	195
74.03	1.280	91
79.00	1.212	69
89.69	1.093	57

Atomic structure:
a = 4.198 Å, b = 4.198 Å, c = 16.418 Å
α = 90.00°, β = 90.00°, γ = 120.00°
Positions (direct):
La: 0.000 0.000 0.000
La: 0.000 0.000 0.250
La: 0.000 0.000 0.500
La: 0.000 0.000 0.750
Ni: 0.333 0.667 0.128
Ni: 0.333 0.667 0.372
Ni: 0.667 0.333 0.628
Ni: 0.667 0.333 0.872
As: 0.333 0.667 0.624
As: 0.333 0.667 0.876
As: 0.667 0.333 0.124
As: 0.667 0.333 0.376

No. 3
For LaNi2As2, a structure optimized by DFT (GGA-PBE) gives the calculated powder diffraction line list in this record (Cu Kα X-rays).
Kinematic intensities with the Lorentz-polarization factor, no thermal factor.

Most intense lines, 2θ from 10° to 90°, in order of rising 2θ:
two_theta	d/Å	intensity
30.47	2.934	254
34.28	2.616	1000
35.38	2.537	826
43.63	2.074	650
50.19	1.818	216
56.63	1.625	467
63.41	1.467	206
63.69	1.461	232
68.66	1.367	167
74.77	1.270	189

Atomic structure:
a = 5.845 Å, b = 5.845 Å, c = 5.845 Å
α = 138.42°, β = 138.42°, γ = 60.26°
Positions (direct):
La: 0.000 0.000 0.000
Ni: 0.250 0.750 0.500
Ni: 0.750 0.250 0.500
As: 0.366 0.366 0.000
As: 0.634 0.634 0.000

No. 4
For LaNi2As2, a structure optimized by DFT (GGA-PBE) gives the calculated powder diffraction line list in this record (Cu Kα X-rays).
Kinematic intensities with the Lorentz-polarization factor, no thermal factor.

Most intense lines, 2θ from 10° to 90°, in order of rising 2θ:
two_theta	d/Å	intensity
29.58	3.020	110
35.17	2.552	1000
42.32	2.135	394
52.52	1.742	123
56.17	1.638	218
61.40	1.510	127
66.43	1.407	95
69.64	1.350	123
72.77	1.300	181
87.98	1.110	72

Atomic structure:
a = 4.271 Å, b = 4.271 Å, c = 9.543 Å
α = 90.00°, β = 90.00°, γ = 90.00°
Positions (direct):
La: 0.250 0.250 0.248
La: 0.750 0.750 0.752
Ni: 0.250 0.250 0.616
Ni: 0.250 0.750 0.000
Ni: 0.750 0.250 0.000
Ni: 0.750 0.750 0.384
As: 0.250 0.250 0.871
As: 0.250 0.750 0.500
As: 0.750 0.250 0.500
As: 0.750 0.750 0.129